For Cs5Tl11Cd2, a cell relaxed with GGA-PBE gives the simulated powder XRD pattern in this record (Cu Kα X-rays).

Principal peaks in the range 2θ = 10–90°, by angle:
28.70 deg, 3.110 Å, I 95
29.15 deg, 3.064 Å, I 65
30.32 deg, 2.948 Å, I 100
31.10 deg, 2.875 Å, I 32
34.35 deg, 2.611 Å, I 27
35.29 deg, 2.543 Å, I 33
36.08 deg, 2.490 Å, I 51
36.67 deg, 2.450 Å, I 29
43.98 deg, 2.059 Å, I 26
52.87 deg, 1.732 Å, I 18

Structure:
```
Cs5Tl11Cd2
1.0
5.8960 0.0000 0.0000
0.0000 9.2920 6.8069
0.0000 -9.2920 6.8069
Cs Tl Cd
5 11 2
direct
0.0000 0.0000 0.0000
0.0000 0.5952 0.9766
0.0000 0.9766 0.5952
0.5000 0.2637 0.8824
0.5000 0.8824 0.2637
0.0000 0.1634 0.3552
0.0000 0.3459 0.6560
0.0000 0.3552 0.1634
0.0000 0.6526 0.6526
0.0000 0.6560 0.3459
0.5000 0.2055 0.2055
0.5000 0.2113 0.5159
0.5000 0.5063 0.7061
0.5000 0.5159 0.2113
0.5000 0.7061 0.5063
0.5000 0.7984 0.7984
0.2501 0.4313 0.4313
0.7499 0.4313 0.4313
```